BiTeBr2: calculated powder XRD pattern (Cu Kα, 1.54184 Å), based on DFT lattice parameters and positions (PBE).
Intensities are scaled so that the largest is 100.

Largest 12 diffraction maxima, by angle, 15° ≤ 2θ ≤ 90°:
18.2 deg, I 42; 23.2 deg, I 34; 25.2 deg, I 26; 28.7 deg, I 100; 29.8 deg, I 43; 32.6 deg, I 87; 33.7 deg, I 93; 34.9 deg, I 46; 36.4 deg, I 32; 36.8 deg, I 34; 45.2 deg, I 41; 54.0 deg, I 29

Atomic structure:
```
data_BiTeBr2
_symmetry_space_group_name_H-M 'C 1 2 1'
_symmetry_Int_Tables_number 5
_symmetry_space_group_name_Hall 'C 2y'
_cell_length_a 10.0089
_cell_length_b 7.6557
_cell_length_c 4.0501
_cell_angle_alpha 90.00
_cell_angle_beta 102.84
_cell_angle_gamma 90.00
loop_
_atom_site_label
_atom_site_type_symbol
_atom_site_fract_x
_atom_site_fract_y
_atom_site_fract_z
_atom_site_occupancy
Bi1 Bi 0.0000 0.0000 0.0000 1
Te1 Te 0.0000 0.2919 0.5000 1
Br1 Br 0.2065 0.8462 0.6387 1
```